1.
This entry pairs a crystal structure of Ti5Zn4Te3O18 with its simulated powder diffraction line list. Radiation: copper Kα. Structure: a cell relaxed with PBE.

```
60
Lattice="7.6045 -4.5972 0.0000 7.6045 4.5972 0.0000 -0.3847 0.0000 10.8022" Properties=species:S:1:pos:R:3 pbc="T T T"
Ti 2.1114 1.3975 8.4325
Ti 4.8018 1.8856 10.2199
Ti 7.3160 3.2194 8.1017
Ti 2.3038 -1.3975 3.0313
Ti 9.8301 1.8856 5.9834
Ti 4.9941 -1.8856 4.8188
Ti 12.5205 1.3975 7.7709
Ti 7.5083 -3.2194 2.7006
Ti 10.0225 -1.8856 0.5823
Ti 12.7129 -1.3975 2.3698
Zn 2.8838 1.3185 4.6726
Zn 6.8289 1.3238 4.8934
Zn 2.6915 -1.3185 10.0737
Zn 8.1878 1.3238 0.5077
Zn 6.6365 -1.3238 10.2945
Zn 12.1328 1.3185 0.7286
Zn 7.9954 -1.3238 5.9088
Zn 11.9404 -1.3185 6.1297
Te 0.0000 0.0000 0.0000
Te -0.1924 0.0000 5.4011
Te 4.9419 0.0194 7.4850
Te 5.1343 -0.0194 2.0838
Te 9.6900 0.0194 8.7184
Te 9.8824 -0.0194 3.3173
O 5.9867 3.1778 0.5630
O 3.4339 1.4584 6.6936
O 1.1389 0.0246 8.0659
O 1.3313 -0.0246 2.6648
O 4.0360 1.5395 1.2497
O 6.2632 2.8039 6.1140
O 5.9830 2.0198 8.8409
O 5.9723 1.5981 3.1181
O 3.6567 0.3020 9.2409
O 9.0299 3.1778 4.8381
O 8.3687 2.8039 10.0893
O 3.8491 -0.3020 3.8398
O 8.6490 2.0198 7.3625
O 6.3079 0.4258 0.3103
O 3.6263 -1.4584 1.2925
O 9.0443 1.5981 2.2830
O 3.8437 -1.5395 6.6508
O 6.1155 -0.4258 5.7114
O 8.7088 0.4258 5.0908
O 10.9806 1.5395 4.1514
O 5.7800 -1.5981 8.5192
O 11.1980 1.4584 9.5097
O 8.5164 -0.4258 10.4919
O 6.1753 -2.0198 3.4398
O 10.9752 0.3020 6.9624
O 6.4556 -2.8039 0.7129
O 5.7944 -3.1778 5.9641
O 11.1676 -0.3020 1.5613
O 8.8519 -1.5981 7.6841
O 8.8413 -2.0198 1.9613
O 8.5611 -2.8039 4.6882
O 10.7883 -1.5395 9.5525
O 13.4930 0.0246 8.1374
O 13.6854 -0.0246 2.7363
O 11.3904 -1.4584 4.1086
O 8.8375 -3.1778 10.2392
```

Principal peaks in the range 10° ≤ 2θ ≤ 80°, sorted by position:
2θ/deg, I/Imax
20.01, 38
20.51, 40
28.27, 100
31.86, 47
34.05, 61
34.19, 50
35.33, 30
54.00, 34

=====

2.
This entry pairs a crystal structure of Tl2Te3O7 with its simulated powder diffraction line list. Radiation: copper Kα. Structure: a cell relaxed with PBE.

```
24
Lattice="6.9675 0.0000 0.0000 -2.8494 7.0779 0.0000 -3.3953 -1.9510 9.5842" Properties=species:S:1:pos:R:3 pbc="T T T"
Tl -0.7975 2.1770 1.6266
Tl -1.4025 2.7215 5.4242
Tl 2.1254 2.4054 4.1600
Tl 1.5203 2.9499 7.9576
Te -2.2923 5.5679 2.2784
Te -0.4657 -1.2528 6.3702
Te -1.9825 3.0885 9.4847
Te 2.7053 2.0384 0.0995
Te 1.1885 6.3797 3.2140
Te 3.0151 -0.4410 7.3058
O -3.6265 6.1409 3.5550
O -3.4960 3.9948 6.0712
O -1.7822 3.9718 3.1093
O -0.3482 4.5772 0.3355
O -0.7918 -1.4441 8.2946
O -1.6921 1.1536 8.4066
O 1.9247 -0.3199 2.9553
O -1.2018 5.4468 6.6289
O 2.4150 3.9733 1.1776
O 1.5147 6.5710 1.2895
O 1.0711 0.5497 9.2487
O 2.5051 1.1552 6.4749
O 4.2189 1.1321 3.5130
O 4.3493 -1.0140 6.0292
```

Principal peaks in the range 10° ≤ 2θ ≤ 80°, sorted by position:
2θ/deg, I/Imax
25.51, 100
26.23, 77
27.66, 90
27.86, 77
28.33, 30
29.98, 66
30.29, 75
38.93, 38

=====

3.
This entry pairs a crystal structure of Tl2TeO3 with its simulated powder diffraction line list. Radiation: copper Kα. Structure: a cell relaxed with PBE.

```
48
Lattice="11.4730 0.0000 0.0000 0.0000 17.0739 0.0000 0.0000 0.0000 5.4409" Properties=species:S:1:pos:R:3 pbc="T T T"
Tl 1.3367 2.9125 1.3534
Tl 1.3367 5.6245 4.0875
Tl 1.5396 0.0157 4.0659
Tl 1.5396 8.5212 1.3749
Tl 4.1969 0.0157 1.3749
Tl 4.1969 8.5212 4.0659
Tl 4.3998 2.9125 4.0875
Tl 4.3998 5.6245 1.3534
Tl 7.0732 11.4494 4.0875
Tl 7.0732 14.1614 1.3534
Tl 7.2761 8.5526 1.3749
Tl 7.2761 17.0582 4.0659
Tl 9.9334 8.5526 4.0659
Tl 9.9334 17.0582 1.3749
Tl 10.1363 11.4494 1.3534
Tl 10.1363 14.1614 4.0875
Te 1.2580 11.2898 3.9773
Te 1.2580 14.3210 1.4636
Te 4.4785 11.2898 1.4636
Te 4.4785 14.3210 3.9773
Te 6.9945 2.7528 1.4636
Te 6.9945 5.7841 3.9773
Te 10.2150 2.7528 3.9773
Te 10.2150 5.7841 1.4636
O 0.5745 3.1893 4.2684
O 0.5745 5.3476 1.1725
O 1.1707 9.4431 4.4112
O 1.1707 16.1677 1.0297
O 1.1866 11.1501 2.0786
O 1.1866 14.4607 3.3623
O 4.5499 11.1501 3.3623
O 4.5499 14.4607 2.0786
O 4.5658 9.4431 1.0297
O 4.5658 16.1677 4.4112
O 5.1620 3.1893 1.1725
O 5.1620 5.3476 4.2684
O 6.3109 11.7262 1.1725
O 6.3109 13.8846 4.2684
O 6.9072 0.9062 1.0297
O 6.9072 7.6308 4.4112
O 6.9230 2.6132 3.3623
O 6.9230 5.9238 2.0786
O 10.2864 2.6132 2.0786
O 10.2864 5.9238 3.3623
O 10.3023 0.9062 4.4112
O 10.3023 7.6308 1.0297
O 10.8985 11.7262 4.2684
O 10.8985 13.8846 1.1725
```

Principal peaks in the range 10° ≤ 2θ ≤ 80°, sorted by position:
2θ/deg, I/Imax
27.50, 100
31.18, 21
31.44, 22
32.92, 20
44.87, 14
53.27, 16
53.60, 18
55.54, 16